Entry 1:
Starting from a cell relaxed with PBE, the powder X-ray diffraction pattern of Pr3YCd4 was simulated for Cu Kα, 1.54184 Å.
Peak positions follow from Bragg's law for the DFT cell and can differ from measured ones.

Cell and atoms:
Unit cell a=9.4614 b=9.4614 c=9.4614 alpha=33.41 beta=33.41 gamma=33.41
Sites, in units of the cell vectors:
Pr (0.0000, 0.0000, 0.0000)
Pr (0.2492, 0.2492, 0.2492)
Pr (0.7508, 0.7508, 0.7508)
Y (0.5000, 0.5000, 0.5000)
Cd (0.1266, 0.1266, 0.1266)
Cd (0.3769, 0.3769, 0.3769)
Cd (0.6231, 0.6231, 0.6231)
Cd (0.8734, 0.8734, 0.8734)

Principal peaks in the range 2θ = 10–80°, sorted by position:
- 32.83°, intensity 100
- 32.93°, intensity 100
- 47.18°, intensity 36
- 58.53°, intensity 18
- 58.76°, intensity 55
- 69.07°, intensity 11
- 78.43°, intensity 15
- 78.61°, intensity 15

---

Entry 2:
Starting from a cell relaxed with PBE, the powder X-ray diffraction pattern of Pr12Y6Cd was simulated for Cu Kα, 1.54184 Å.
Peak positions follow from Bragg's law for the DFT cell and can differ from measured ones.

Cell and atoms:
Unit cell a=8.8367 b=8.8367 c=8.8367 alpha=98.11 beta=98.11 gamma=98.11
Sites, in units of the cell vectors:
Pr (0.0008, 0.2585, 0.7414)
Pr (0.1698, 0.5827, 0.5825)
Pr (0.2585, 0.7414, 0.0008)
Pr (0.2586, 0.9992, 0.7415)
Pr (0.4173, 0.4175, 0.8302)
Pr (0.4175, 0.8302, 0.4173)
Pr (0.5825, 0.1698, 0.5827)
Pr (0.5827, 0.5825, 0.1698)
Pr (0.7414, 0.0008, 0.2585)
Pr (0.7415, 0.2586, 0.9992)
Pr (0.8302, 0.4173, 0.4175)
Pr (0.9992, 0.7415, 0.2586)
Y (0.1383, 0.4073, 0.1394)
Y (0.1394, 0.1383, 0.4073)
Y (0.4073, 0.1394, 0.1383)
Y (0.5927, 0.8606, 0.8617)
Y (0.8606, 0.8617, 0.5927)
Y (0.8617, 0.5927, 0.8606)
Cd (0.0000, 0.0000, 0.0000)

Principal peaks in the range 2θ = 10–80°, sorted by position:
- 24.56°, intensity 20
- 28.59°, intensity 24
- 31.10°, intensity 100
- 31.71°, intensity 86
- 33.95°, intensity 27
- 34.52°, intensity 18
- 48.29°, intensity 23
- 56.08°, intensity 19